This entry pairs a crystal structure of NpCd2Sb2 with its calculated PXRD pattern. Radiation: λ = 1.5418 Å (Cu Kα). Structure: a structure optimized by DFT (GGA-PBE).

Most intense lines, 10 to 90 degrees two-theta, sorted by position:
33.8 deg, intensity 100
34.9 deg, intensity 19
41.2 deg, intensity 31
55.0 deg, intensity 21
70.3 deg, intensity 12
70.4 deg, intensity 12

Structure:
```
NpCd2Sb2
1.0
2.194 -12.867 0.000
2.194 12.867 0.000
0.000 0.000 4.379
Np Cd Sb
2 4 4
Direct
0.155 0.845 0.750
0.845 0.155 0.250
0.042 0.958 0.250
0.455 0.545 0.250
0.545 0.455 0.750
0.958 0.042 0.750
0.250 0.750 0.250
0.366 0.634 0.750
0.634 0.366 0.250
0.750 0.250 0.750
```